# 1
Diffraction record for Rb2NpTe6Au2. The powder X-ray diffraction pattern is theoretical, not measured: it uses the PBE geometry in Alexandria and CuKα.
Lines closer than 0.1° are merged.

The 10 most intense peaks (2θ = 5–70°), by angle:
2θ/deg, intensity
10.24, 48
16.17, 31
21.90, 33
22.58, 100
29.10, 27
31.30, 30
32.70, 34
34.35, 42
36.50, 65
45.92, 33

```
11
Lattice="7.7447 -3.2828 0.0000 7.7447 3.2828 0.0000 -5.1827 0.0000 8.6425" Properties=species:S:1:pos:R:3 pbc="T T T"
Rb 1.9558 0.0000 1.7414
Rb 8.3509 0.0000 6.9011
Np -2.5913 0.0000 4.3212
Te 5.6724 1.6436 1.7832
Te 0.1876 0.0000 5.1278
Te 4.6343 1.6436 6.8593
Te 5.6724 -1.6436 1.7832
Te 10.1191 0.0000 3.5147
Te 4.6343 -1.6436 6.8593
Au 2.6326 0.0000 6.0325
Au 7.6741 0.0000 2.6100
```

---

# 2
Diffraction record for Cd3Hg3I. The powder X-ray diffraction pattern is theoretical, not measured: it uses the PBE geometry in Alexandria and CuKα.
Lines closer than 0.1° are merged.

The 10 most intense peaks (2θ = 5–70°), by angle:
2θ/deg, intensity
15.32, 32
21.73, 41
24.33, 18
26.69, 100
38.10, 46
41.29, 63
44.29, 38
49.85, 18
62.14, 18
64.42, 25

```
14
Lattice="8.1812 0.0000 0.0000 0.0000 8.1812 0.0000 0.0000 0.0000 8.1812" Properties=species:S:1:pos:R:3 pbc="T T T"
Cd 0.0000 2.0453 4.0906
Cd 0.0000 6.1359 4.0906
Cd 2.0453 4.0906 0.0000
Cd 4.0906 0.0000 2.0453
Cd 4.0906 0.0000 6.1359
Cd 6.1359 4.0906 0.0000
Hg 0.0000 4.0906 2.0453
Hg 0.0000 4.0906 6.1359
Hg 2.0453 0.0000 4.0906
Hg 4.0906 2.0453 0.0000
Hg 4.0906 6.1359 0.0000
Hg 6.1359 0.0000 4.0906
I 0.0000 0.0000 0.0000
I 4.0906 4.0906 4.0906
```

---

Question: What is the formula in the first record?
Answer: Rb2NpTe6Au2